[1]
Theoretical X-ray powder pattern
Compound: Ho6Mg3Ni
Radiation: copper Kα
Structure: DFT lattice parameters and positions (GGA-PBE)
Neutral-atom scattering factors, no anomalous dispersion.

Cell and atoms:
a b c (Å): 9.332 11.207 5.131
angles (deg): 90.00 90.00 90.00
Positions (direct):
Ho 0.021 0.230 0.000
Ho 0.156 0.072 0.500
Ho 0.197 0.399 0.500
Ho 0.303 0.899 0.000
Ho 0.344 0.572 0.000
Ho 0.479 0.730 0.500
Ho 0.521 0.270 0.500
Ho 0.656 0.428 0.000
Ho 0.697 0.101 0.000
Ho 0.803 0.601 0.500
Ho 0.844 0.928 0.500
Ho 0.979 0.770 0.000
Mg 0.000 0.500 0.000
Mg 0.149 0.711 0.500
Mg 0.351 0.211 0.000
Mg 0.500 0.000 0.500
Mg 0.649 0.789 0.000
Mg 0.851 0.289 0.500
Ni 0.000 0.000 0.000
Ni 0.500 0.500 0.500

Peak list (10 most intense, 2θ from 10° to 80°, in order of rising 2θ)
2theta	I_rel
20.6	25.9
21.3	28.1
24.8	25.1
25.4	43.6
30.7	23.6
31.1	90.3
33.7	100.0
35.0	53.1
37.4	25.4
37.8	32.5

[2]
Theoretical X-ray powder pattern
Compound: Ho3Mg3Ni
Radiation: copper Kα
Structure: DFT lattice parameters and positions (GGA-PBE)
Neutral-atom scattering factors, no anomalous dispersion.

Cell and atoms:
a b c (Å): 10.016 10.016 10.016
angles (deg): 60.00 60.00 60.00
Positions (direct):
Ho 0.073 0.073 0.677
Ho 0.073 0.677 0.073
Ho 0.073 0.677 0.677
Ho 0.323 0.323 0.927
Ho 0.323 0.927 0.323
Ho 0.323 0.927 0.927
Ho 0.677 0.073 0.073
Ho 0.677 0.073 0.677
Ho 0.677 0.677 0.073
Ho 0.927 0.323 0.323
Ho 0.927 0.323 0.927
Ho 0.927 0.927 0.323
Mg 0.000 0.500 0.500
Mg 0.294 0.294 0.294
Mg 0.294 0.294 0.617
Mg 0.294 0.617 0.294
Mg 0.383 0.706 0.706
Mg 0.500 0.000 0.500
Mg 0.500 0.500 0.000
Mg 0.500 0.500 0.500
Mg 0.617 0.294 0.294
Mg 0.706 0.383 0.706
Mg 0.706 0.706 0.383
Mg 0.706 0.706 0.706
Ni 0.000 0.000 0.000
Ni 0.000 0.000 0.500
Ni 0.000 0.500 0.000
Ni 0.500 0.000 0.000

Peak list (10 most intense, 2θ from 10° to 80°, in order of rising 2θ)
2theta	I_rel
10.8	67.6
25.1	39.9
27.4	27.7
30.9	74.3
32.9	100.0
35.9	61.0
45.7	38.2
49.4	27.7
52.9	20.1
55.0	66.6

[3]
Theoretical X-ray powder pattern
Compound: HoMgOs
Radiation: copper Kα
Structure: DFT lattice parameters and positions (GGA-PBE)
Neutral-atom scattering factors, no anomalous dispersion.

Cell and atoms:
a b c (Å): 7.050 5.743 5.504
angles (deg): 77.60 52.71 49.69
Positions (direct):
Ho 0.159 0.159 0.841
Ho 0.841 0.841 0.159
Mg 0.330 0.670 0.330
Mg 0.670 0.330 0.670
Os 0.250 0.250 0.250
Os 0.750 0.750 0.750

Peak list (10 most intense, 2θ from 10° to 80°, in order of rising 2θ)
2theta	I_rel
17.3	100.0
21.2	28.1
32.7	50.4
33.8	20.0
37.1	34.1
39.3	57.5
39.8	46.5
41.2	31.3
43.2	55.8
63.8	23.1

[4]
Theoretical X-ray powder pattern
Compound: HoMgPa2Ru4
Radiation: copper Kα
Structure: DFT lattice parameters and positions (GGA-PBE)
Neutral-atom scattering factors, no anomalous dispersion.

Cell and atoms:
a b c (Å): 9.060 9.060 9.060
angles (deg): 28.94 28.94 28.94
Positions (direct):
Ho 0.000 0.000 0.000
Mg 0.500 0.500 0.500
Pa 0.244 0.244 0.244
Pa 0.756 0.756 0.756
Ru 0.121 0.121 0.121
Ru 0.395 0.395 0.395
Ru 0.605 0.605 0.605
Ru 0.879 0.879 0.879

Peak list (10 most intense, 2θ from 10° to 80°, in order of rising 2θ)
2theta	I_rel
20.5	27.7
23.7	12.6
26.5	14.5
28.5	13.9
35.9	100.0
39.8	94.8
45.2	21.7
54.7	38.0
69.7	32.8
72.3	16.4

[5]
Theoretical X-ray powder pattern
Compound: HoMgPb
Radiation: copper Kα
Structure: DFT lattice parameters and positions (GGA-PBE)
Neutral-atom scattering factors, no anomalous dispersion.

Cell and atoms:
a b c (Å): 4.438 4.438 16.045
angles (deg): 90.00 90.00 90.00
Positions (direct):
Ho 0.000 0.000 0.165
Ho 0.000 0.000 0.835
Ho 0.500 0.500 0.335
Ho 0.500 0.500 0.665
Mg 0.000 0.500 0.000
Mg 0.000 0.500 0.500
Mg 0.500 0.000 0.000
Mg 0.500 0.000 0.500
Pb 0.000 0.000 0.361
Pb 0.000 0.000 0.639
Pb 0.500 0.500 0.139
Pb 0.500 0.500 0.861

Peak list (10 most intense, 2θ from 10° to 80°, in order of rising 2θ)
2theta	I_rel
11.0	26.5
22.2	51.1
28.4	100.0
30.6	27.3
36.4	86.0
40.7	51.7
44.5	35.2
46.8	29.8
53.7	24.8
71.2	24.8

[6]
Theoretical X-ray powder pattern
Compound: Ho4Mg4Pb7
Radiation: copper Kα
Structure: DFT lattice parameters and positions (GGA-PBE)
Neutral-atom scattering factors, no anomalous dispersion.

Cell and atoms:
a b c (Å): 11.721 11.721 11.721
angles (deg): 94.17 94.17 148.72
Positions (direct):
Ho 0.000 0.189 0.189
Ho 0.000 0.811 0.811
Ho 0.189 0.000 0.189
Ho 0.366 0.366 0.733
Ho 0.366 0.634 0.000
Ho 0.634 0.366 0.000
Ho 0.634 0.634 0.267
Ho 0.811 0.000 0.811
Mg 0.095 0.595 0.189
Mg 0.095 0.905 0.500
Mg 0.405 0.595 0.500
Mg 0.405 0.905 0.811
Mg 0.595 0.095 0.189
Mg 0.595 0.405 0.500
Mg 0.905 0.095 0.500
Mg 0.905 0.405 0.811
Pb 0.000 0.405 0.405
Pb 0.000 0.595 0.595
Pb 0.194 0.194 0.388
Pb 0.194 0.806 0.000
Pb 0.227 0.500 0.727
Pb 0.250 0.250 0.000
Pb 0.405 0.000 0.405
Pb 0.500 0.227 0.727
Pb 0.500 0.773 0.273
Pb 0.595 0.000 0.595
Pb 0.750 0.750 0.000
Pb 0.773 0.500 0.273
Pb 0.806 0.194 0.000
Pb 0.806 0.806 0.612

Peak list (10 most intense, 2θ from 10° to 80°, in order of rising 2θ)
2theta	I_rel
23.6	12.2
28.2	28.6
31.4	100.0
33.4	37.3
33.7	14.1
39.9	13.8
46.0	15.9
46.7	15.7
52.0	24.8
67.2	13.1

[7]
Theoretical X-ray powder pattern
Compound: HoMg4Pb3
Radiation: copper Kα
Structure: DFT lattice parameters and positions (GGA-PBE)
Neutral-atom scattering factors, no anomalous dispersion.

Cell and atoms:
a b c (Å): 6.025 6.149 6.363
angles (deg): 94.16 91.33 117.35
Positions (direct):
Ho 0.000 0.000 0.000
Mg 0.013 0.492 0.783
Mg 0.028 0.543 0.280
Mg 0.544 0.052 0.328
Mg 0.579 0.582 0.583
Pb 0.069 0.080 0.503
Pb 0.500 0.522 0.083
Pb 0.501 0.010 0.835

Peak list (10 most intense, 2θ from 10° to 80°, in order of rising 2θ)
2theta	I_rel
14.0	29.4
16.3	41.1
17.1	40.0
22.5	55.8
32.7	56.5
32.9	57.6
33.6	100.0
34.5	56.8
38.4	24.2
42.3	26.1

[8]
Theoretical X-ray powder pattern
Compound: Ho2MgPb5
Radiation: copper Kα
Structure: DFT lattice parameters and positions (GGA-PBE)
Neutral-atom scattering factors, no anomalous dispersion.

Cell and atoms:
a b c (Å): 6.679 13.397 4.959
angles (deg): 90.00 90.00 90.00
Positions (direct):
Ho 0.211 0.136 0.000
Ho 0.289 0.636 0.000
Ho 0.711 0.364 0.000
Ho 0.789 0.864 0.000
Mg 0.000 0.500 0.500
Mg 0.500 0.000 0.500
Pb 0.000 0.000 0.500
Pb 0.034 0.742 0.500
Pb 0.213 0.388 0.000
Pb 0.287 0.888 0.000
Pb 0.466 0.242 0.500
Pb 0.500 0.500 0.500
Pb 0.534 0.758 0.500
Pb 0.713 0.112 0.000
Pb 0.787 0.612 0.000
Pb 0.966 0.258 0.500

Peak list (10 most intense, 2θ from 10° to 80°, in order of rising 2θ)
2theta	I_rel
32.3	100.0
33.0	9.3
36.2	20.8
38.1	28.6
53.6	21.7
62.2	5.1
62.7	15.4
65.1	10.1
65.2	6.6
67.5	5.5

[9]
Theoretical X-ray powder pattern
Compound: Ho4MgPb5
Radiation: copper Kα
Structure: DFT lattice parameters and positions (GGA-PBE)
Neutral-atom scattering factors, no anomalous dispersion.

Cell and atoms:
a b c (Å): 7.547 7.547 7.547
angles (deg): 100.10 100.10 130.50
Positions (direct):
Ho 0.089 0.307 0.396
Ho 0.307 0.911 0.219
Ho 0.693 0.089 0.781
Ho 0.911 0.693 0.604
Mg 0.698 0.698 0.000
Pb 0.180 0.180 0.000
Pb 0.225 0.602 0.824
Pb 0.401 0.225 0.623
Pb 0.602 0.778 0.377
Pb 0.778 0.401 0.176

Peak list (10 most intense, 2θ from 10° to 80°, in order of rising 2θ)
2theta	I_rel
28.2	34.2
29.1	100.0
31.1	20.1
33.9	14.3
38.8	13.1
41.0	64.3
41.7	34.9
51.1	25.2
66.6	16.5
68.4	13.4

[10]
Theoretical X-ray powder pattern
Compound: HoMg2Pd5
Radiation: copper Kα
Structure: DFT lattice parameters and positions (GGA-PBE)
Neutral-atom scattering factors, no anomalous dispersion.

Cell and atoms:
a b c (Å): 4.212 4.212 15.114
angles (deg): 90.00 90.00 90.00
Positions (direct):
Ho 0.000 0.000 0.000
Ho 0.500 0.500 0.500
Mg 0.000 0.000 0.252
Mg 0.000 0.000 0.748
Mg 0.500 0.500 0.248
Mg 0.500 0.500 0.752
Pd 0.000 0.000 0.500
Pd 0.000 0.500 0.135
Pd 0.000 0.500 0.365
Pd 0.000 0.500 0.635
Pd 0.000 0.500 0.865
Pd 0.500 0.000 0.135
Pd 0.500 0.000 0.365
Pd 0.500 0.000 0.635
Pd 0.500 0.000 0.865
Pd 0.500 0.500 0.000

Peak list (10 most intense, 2θ from 10° to 80°, in order of rising 2θ)
2theta	I_rel
11.7	21.0
32.3	21.7
35.6	7.9
38.5	100.0
42.9	37.9
48.2	11.7
57.0	8.1
62.4	12.3
66.5	17.5
75.7	26.6

[11]
Theoretical X-ray powder pattern
Compound: Ho3MgPd12
Radiation: copper Kα
Structure: DFT lattice parameters and positions (GGA-PBE)
Neutral-atom scattering factors, no anomalous dispersion.

Cell and atoms:
a b c (Å): 4.082 4.082 16.275
angles (deg): 90.00 90.00 90.00
Positions (direct):
Ho 0.000 0.000 0.000
Ho 0.000 0.000 0.255
Ho 0.000 0.000 0.745
Mg 0.000 0.000 0.500
Pd 0.000 0.500 0.127
Pd 0.000 0.500 0.382
Pd 0.000 0.500 0.618
Pd 0.000 0.500 0.873
Pd 0.500 0.000 0.127
Pd 0.500 0.000 0.382
Pd 0.500 0.000 0.618
Pd 0.500 0.000 0.873
Pd 0.500 0.500 0.000
Pd 0.500 0.500 0.254
Pd 0.500 0.500 0.500
Pd 0.500 0.500 0.746

Peak list (10 most intense, 2θ from 10° to 80°, in order of rising 2θ)
2theta	I_rel
22.5	2.1
27.4	2.1
35.2	2.8
38.2	100.0
44.4	33.1
44.5	15.5
64.6	10.6
64.7	20.1
77.6	24.6
77.8	11.6

[12]
Theoretical X-ray powder pattern
Compound: HoMg3Pd3
Radiation: copper Kα
Structure: DFT lattice parameters and positions (GGA-PBE)
Neutral-atom scattering factors, no anomalous dispersion.

Cell and atoms:
a b c (Å): 5.645 5.645 5.645
angles (deg): 109.86 109.86 109.86
Positions (direct):
Ho 0.000 0.000 0.000
Mg 0.408 0.408 0.841
Mg 0.408 0.841 0.408
Mg 0.841 0.408 0.408
Pd 0.415 0.903 0.903
Pd 0.903 0.415 0.903
Pd 0.903 0.903 0.415

Peak list (10 most intense, 2θ from 10° to 80°, in order of rising 2θ)
2theta	I_rel
19.5	100.0
27.5	17.3
33.8	68.9
39.0	99.0
39.6	71.9
44.0	27.6
56.8	22.8
64.6	15.8
70.6	14.8
71.0	22.1

> What is the formula in the second record?

Ho3Mg3Ni